Simulated powder diffractogram
Compound: Co3Te
Radiation: Cu Kα (weighted mean of Kα1 and Kα2)
Structure: the GGA-PBE geometry in the Materials Project
Lines closer than 0.1° are merged.

Principal peaks in the range 2θ from 10° to 90°, low angle first:
2θ (°)  d_spacing  intensity
24.31  3.662  4
26.69  3.340  13
33.78  2.653  4
42.05  2.149  100
48.52  1.876  32
49.80  1.831  15
71.06  1.327  10
72.07  1.310  19
86.15  1.129  23
88.08  1.109  11

Crystal structure
a = 4.5222 Å, b = 4.5222 Å, c = 4.5222 Å
α = 130.98°, β = 130.98°, γ = 71.85°
Atoms (fractional coordinates):
Co (0.0000, 0.0000, 0.0000)
Co (0.2500, 0.7500, 0.5000)
Co (0.7500, 0.2500, 0.5000)
Te (0.5000, 0.5000, 0.0000)